This entry pairs a crystal structure of Ac2CdIn6Ni with its simulated X-ray powder pattern. Radiation: Cu Kα (λ = 1.5418 Å). Structure: DFT lattice parameters and positions (GGA-PBE).
No peak broadening, texture or thermal motion is included.

Peak list (10 most intense, 2θ = 10–80°, sorted by position)
2θ (°)	I/Imax
25.5	22.9
29.1	20.2
31.7	50.1
32.7	100.0
41.1	21.3
41.9	14.4
50.2	13.2
52.3	24.5
59.3	14.8
74.5	15.1

abc: 6.9931 6.9931 6.3851
angles: 90.00 90.00 120.00
Fractional coordinates of all 10 atoms:
1 Ac 0.3333 0.6667 0.1705
2 Ac 0.6667 0.3333 0.8295
3 Cd 0.0000 0.0000 0.0000
4 In 0.1883 0.3766 0.6902
5 In 0.1883 0.8117 0.6902
6 In 0.3766 0.1883 0.3098
7 In 0.6234 0.8117 0.6902
8 In 0.8117 0.1883 0.3098
9 In 0.8117 0.6234 0.3098
10 Ni 0.0000 0.0000 0.5000

***

This entry pairs a crystal structure of AcPm2Cd2In2 with its simulated X-ray powder pattern. Radiation: Cu Kα (λ = 1.5418 Å). Structure: DFT lattice parameters and positions (GGA-PBE).
No peak broadening, texture or thermal motion is included.

Peak list (10 most intense, 2θ = 10–80°, sorted by position)
2θ (°)	I/Imax
20.6	17.3
29.9	98.1
32.3	47.3
35.7	100.0
47.2	27.8
48.9	15.0
60.6	26.3
60.9	20.0
62.0	14.8
64.1	17.8

abc: 9.9854 9.9854 9.9854
angles: 29.20 29.20 29.20
Fractional coordinates of all 7 atoms:
1 Ac 0.0000 0.0000 0.0000
2 Pm 0.1319 0.1319 0.1319
3 Pm 0.8681 0.8681 0.8681
4 Cd 0.4171 0.4171 0.4171
5 Cd 0.5829 0.5829 0.5829
6 In 0.2585 0.2585 0.2585
7 In 0.7415 0.7415 0.7415

***

This entry pairs a crystal structure of AcSmCdIn with its simulated X-ray powder pattern. Radiation: Cu Kα (λ = 1.5418 Å). Structure: DFT lattice parameters and positions (GGA-PBE).
No peak broadening, texture or thermal motion is included.

Peak list (10 most intense, 2θ = 10–80°, sorted by position)
2θ (°)	I/Imax
22.5	6.3
25.2	6.5
31.9	100.0
32.1	52.0
45.6	8.1
46.0	19.1
56.8	16.7
57.1	38.2
66.7	10.3
76.2	16.7

abc: 3.9481 3.9481 7.9651
angles: 90.00 90.00 90.00
Fractional coordinates of all 4 atoms:
1 Ac 0.0000 0.0000 0.0000
2 Sm 0.0000 0.0000 0.4973
3 Cd 0.5000 0.5000 0.2802
4 In 0.5000 0.5000 0.7232

***

This entry pairs a crystal structure of Sr2AcCd2In2 with its simulated X-ray powder pattern. Radiation: Cu Kα (λ = 1.5418 Å). Structure: DFT lattice parameters and positions (GGA-PBE).
No peak broadening, texture or thermal motion is included.

Peak list (10 most intense, 2θ = 10–80°, sorted by position)
2θ (°)	I/Imax
24.6	18.1
28.3	62.2
30.4	94.9
35.1	100.0
43.1	15.8
45.7	16.8
47.1	28.0
56.7	41.4
60.1	26.8
63.0	17.8

abc: 10.9096 10.9096 10.9096
angles: 27.08 27.08 27.08
Fractional coordinates of all 7 atoms:
1 Sr 0.1255 0.1255 0.1255
2 Sr 0.8745 0.8745 0.8745
3 Ac 0.0000 0.0000 0.0000
4 Cd 0.3965 0.3965 0.3965
5 Cd 0.6035 0.6035 0.6035
6 In 0.2630 0.2630 0.2630
7 In 0.7370 0.7370 0.7370